# CsKCoF6
Computed XRD peak list, λ = 1.5418 Å (Cu Kα). Input: a cell relaxed with PBE+U.
No peak broadening, texture or thermal motion is included.

```
CsKCoF6
1.0
6.410 0.000 0.000
-3.205 5.551 0.000
0.000 0.000 10.177
Cs K Co F
2 2 2 12
Direct
0.000 0.000 0.000
0.000 0.000 0.500
0.333 0.667 0.250
0.667 0.333 0.750
0.333 0.667 0.750
0.667 0.333 0.250
0.098 0.435 0.649
0.098 0.664 0.851
0.336 0.435 0.851
0.336 0.902 0.649
0.435 0.098 0.149
0.435 0.336 0.351
0.565 0.664 0.649
0.565 0.902 0.851
0.664 0.098 0.351
0.664 0.565 0.149
0.902 0.336 0.149
0.902 0.565 0.351
```

The 12 most intense peaks (2θ = 10–90°), in order of rising 2θ:
two_theta, I_rel, index
15.97, 9, 1 0 0
18.20, 15, 1 0 1
23.72, 100, 1 0 2
27.84, 38, 1 1 0
36.89, 26, 2 0 2
45.52, 31, 1 1 4
46.84, 28, 2 1 2
49.24, 11, 3 0 0
62.01, 9, 3 0 4
63.09, 12, 3 1 2
69.30, 9, 2 2 4
71.53, 9, 3 -1 6